[1]
Structure and simulated X-ray diffraction stick pattern of CuHg3F7 (a crystal structure in Alexandria, relaxed with GGA-PBE; Cu Ka).
No peak broadening, texture or thermal motion is included.

Top 10 peaks for 2θ = 10–90°, most intense first:
- d 3.275, intensity 1000
- d 3.128, intensity 837
- d 1.963, intensity 509
- d 2.761, intensity 398
- d 1.636, intensity 327
- d 1.698, intensity 239
- d 2.790, intensity 191
- d 1.889, intensity 172
- d 6.551, intensity 130
- d 2.023, intensity 125

Structural model:
```
data_CuHg3F7
_cell_length_a 6.8926
_cell_length_b 6.8926
_cell_length_c 7.5547
_cell_angle_alpha 90.00
_cell_angle_beta 90.00
_cell_angle_gamma 108.12
_symmetry_space_group_name_H-M 'P 1'
_symmetry_Int_Tables_number 1
loop_
_symmetry_equiv_pos_as_xyz
'x,y,z'
loop_
_atom_site_label
_atom_site_type_symbol
_atom_site_fract_x
_atom_site_fract_y
_atom_site_fract_z
Cu1 Cu 0.0044 0.0044 0.0000
Cu2 Cu 0.9956 0.9956 0.5000
Hg1 Hg 0.0014 0.4604 0.2478
Hg2 Hg 0.4604 0.0014 0.7522
Hg3 Hg 0.4674 0.4674 0.5000
Hg4 Hg 0.5326 0.5326 0.0000
Hg5 Hg 0.5396 0.9986 0.2522
Hg6 Hg 0.9986 0.5396 0.7478
F1 F 0.0525 0.9475 0.7500
F2 F 0.0633 0.3255 0.9735
F3 F 0.0778 0.3262 0.5239
F4 F 0.3255 0.0633 0.0265
F5 F 0.3262 0.0778 0.4761
F6 F 0.3680 0.6320 0.7500
F7 F 0.3688 0.6312 0.2500
F8 F 0.6312 0.3688 0.7500
F9 F 0.6320 0.3680 0.2500
F10 F 0.6738 0.9222 0.9761
F11 F 0.6745 0.9367 0.5265
F12 F 0.9222 0.6738 0.0239
F13 F 0.9367 0.6745 0.4735
F14 F 0.9475 0.0525 0.2500
```

[2]
Structure and simulated X-ray diffraction stick pattern of LiCuHg2F6 (a crystal structure in Alexandria, relaxed with GGA-PBE; Cu Ka).
No peak broadening, texture or thermal motion is included.

Top 10 peaks for 2θ = 10–90°, most intense first:
- d 2.806, intensity 1000
- d 4.093, intensity 723
- d 2.830, intensity 687
- d 3.885, intensity 450
- d 1.826, intensity 437
- d 2.791, intensity 373
- d 3.634, intensity 290
- d 3.608, intensity 279
- d 1.629, intensity 247
- d 1.943, intensity 213

Structural model:
```
data_LiCuHg2F6
_cell_length_a 5.6127
_cell_length_b 5.9812
_cell_length_c 9.5324
_cell_angle_alpha 90.00
_cell_angle_beta 125.40
_cell_angle_gamma 90.00
_symmetry_space_group_name_H-M 'P 1'
_symmetry_Int_Tables_number 1
loop_
_symmetry_equiv_pos_as_xyz
'x,y,z'
loop_
_atom_site_label
_atom_site_type_symbol
_atom_site_fract_x
_atom_site_fract_y
_atom_site_fract_z
Li1 Li 0.0000 0.0000 0.0000
Li2 Li 0.0000 0.5000 0.5000
Cu1 Cu 0.5000 0.0000 0.5000
Cu2 Cu 0.5000 0.5000 0.0000
Hg1 Hg 0.2257 0.0775 0.7482
Hg2 Hg 0.2257 0.4225 0.2482
Hg3 Hg 0.7743 0.5775 0.7518
Hg4 Hg 0.7743 0.9225 0.2518
F1 F 0.1411 0.1875 0.4543
F2 F 0.1411 0.3125 0.9543
F3 F 0.2331 0.6730 0.4369
F4 F 0.2331 0.8270 0.9369
F5 F 0.3620 0.0348 0.2526
F6 F 0.3620 0.4652 0.7526
F7 F 0.6380 0.5348 0.2474
F8 F 0.6380 0.9652 0.7474
F9 F 0.7669 0.1730 0.0631
F10 F 0.7669 0.3270 0.5631
F11 F 0.8589 0.6875 0.0457
F12 F 0.8589 0.8125 0.5457
```

[3]
Structure and simulated X-ray diffraction stick pattern of LiCuHgF6 (a crystal structure in Alexandria, relaxed with GGA-PBE; Cu Ka).
No peak broadening, texture or thermal motion is included.

Top 10 peaks for 2θ = 10–90°, most intense first:
- d 3.322, intensity 1000
- d 4.498, intensity 398
- d 1.787, intensity 314
- d 2.046, intensity 250
- d 1.607, intensity 244
- d 2.597, intensity 216
- d 2.297, intensity 180
- d 2.160, intensity 164
- d 4.092, intensity 110
- d 1.499, intensity 109

Structural model:
```
data_LiCuHgF6
_cell_length_a 5.1943
_cell_length_b 5.1943
_cell_length_c 9.8515
_cell_angle_alpha 90.00
_cell_angle_beta 90.00
_cell_angle_gamma 120.00
_symmetry_space_group_name_H-M 'P 1'
_symmetry_Int_Tables_number 1
loop_
_symmetry_equiv_pos_as_xyz
'x,y,z'
loop_
_atom_site_label
_atom_site_type_symbol
_atom_site_fract_x
_atom_site_fract_y
_atom_site_fract_z
Li1 Li 0.3333 0.6667 0.2500
Li2 Li 0.6667 0.3333 0.7500
Cu1 Cu 0.3333 0.6667 0.7500
Cu2 Cu 0.6667 0.3333 0.2500
Hg1 Hg 0.0000 0.0000 0.0000
Hg2 Hg 0.0000 0.0000 0.5000
F1 F 0.0152 0.3691 0.6403
F2 F 0.0152 0.6461 0.8597
F3 F 0.3539 0.3691 0.8597
F4 F 0.3539 0.9848 0.6403
F5 F 0.3691 0.0152 0.1403
F6 F 0.3691 0.3539 0.3597
F7 F 0.6309 0.6461 0.6403
F8 F 0.6309 0.9848 0.8597
F9 F 0.6461 0.0152 0.3597
F10 F 0.6461 0.6309 0.1403
F11 F 0.9848 0.3539 0.1403
F12 F 0.9848 0.6309 0.3597
```

[4]
Structure and simulated X-ray diffraction stick pattern of Cu2HgPbF8 (a crystal structure in Alexandria, relaxed with GGA-PBE; Cu Ka).
No peak broadening, texture or thermal motion is included.

Top 10 peaks for 2θ = 10–90°, most intense first:
- d 3.234, intensity 1000
- d 1.704, intensity 388
- d 5.034, intensity 336
- d 2.835, intensity 268
- d 1.968, intensity 252
- d 2.735, intensity 197
- d 2.470, intensity 170
- d 1.660, intensity 162
- d 2.005, intensity 158
- d 1.617, intensity 147

Structural model:
```
data_Cu2HgPbF8
_cell_length_a 6.7818
_cell_length_b 6.7818
_cell_length_c 6.7818
_cell_angle_alpha 130.58
_cell_angle_beta 130.58
_cell_angle_gamma 72.48
_symmetry_space_group_name_H-M 'P 1'
_symmetry_Int_Tables_number 1
loop_
_symmetry_equiv_pos_as_xyz
'x,y,z'
loop_
_atom_site_label
_atom_site_type_symbol
_atom_site_fract_x
_atom_site_fract_y
_atom_site_fract_z
Cu1 Cu 0.0000 0.0000 0.0000
Cu2 Cu 0.7500 0.2500 0.5000
Hg1 Hg 0.5000 0.5000 0.0000
Pb1 Pb 0.2500 0.7500 0.5000
F1 F 0.0968 0.4375 0.9235
F2 F 0.2037 0.7664 0.8661
F3 F 0.2336 0.0997 0.4373
F4 F 0.5140 0.1733 0.0765
F5 F 0.5625 0.4860 0.6593
F6 F 0.6624 0.7963 0.5627
F7 F 0.8267 0.9032 0.3407
F8 F 0.9003 0.3376 0.1339
```